Entry 1:
This entry pairs a crystal structure of Sm2HoCo2 with its theoretical X-ray powder pattern. Radiation: λ = 1.5418 Å (Cu Kα). Structure: a crystal structure in Alexandria, relaxed with PBE.
Neutral-atom scattering factors, no anomalous dispersion.

The 8 most intense peaks (10° ≤ 2θ ≤ 90°), low angle first:
2θ/deg	d/Å	Rel. int.	hkl
27.2	3.279	24	1 1 2
32.4	2.763	91	2 0 2
34.7	2.582	100	2 1 2
35.0	2.565	21	2 2 0
39.3	2.295	49	3 1 0
42.4	2.132	29	0 0 4
58.1	1.587	24	3 3 2
59.2	1.562	29	3 1 4

Crystal structure
a b c (Å): 7.2560 7.2560 8.5266
angles (deg): 90.00 90.00 90.00
Space group P4/mnc (No. 128)
One atom of each set of equivalent atoms:
Sm  0.1746  0.3250  0.0000 x8
Ho  0.0000  0.0000  0.2504 x4
Co  0.1098  0.6098  0.2500 x8



Entry 2:
This entry pairs a crystal structure of PmDyH with its theoretical X-ray powder pattern. Radiation: λ = 1.5418 Å (Cu Kα). Structure: a crystal structure in Alexandria, relaxed with PBE.
Neutral-atom scattering factors, no anomalous dispersion.

The 8 most intense peaks (10° ≤ 2θ ≤ 90°), low angle first:
2θ/deg	d/Å	Rel. int.	hkl
28.1	3.177	23	1 0 0
31.3	2.854	23	0 0 2
32.2	2.776	100	0 1 1
42.6	2.123	16	1 0 2
49.7	1.834	20	1 1 0
56.4	1.632	20	0 1 3
59.9	1.543	22	1 1 2
60.5	1.530	17	2 0 1

Crystal structure
a b c (Å): 3.6687 3.6687 5.7081
angles (deg): 90.00 90.00 120.00
Space group P3m1 (No. 156)
One atom of each set of equivalent atoms:
Pm  0.0000  0.0000  0.0000 x1
Dy  0.6667  0.3333  0.5163 x1
H  0.3333  0.6667  0.7466 x1



Entry 3:
This entry pairs a crystal structure of LiIn2Bi with its theoretical X-ray powder pattern. Radiation: λ = 1.5418 Å (Cu Kα). Structure: a crystal structure in Alexandria, relaxed with PBE.
Neutral-atom scattering factors, no anomalous dispersion.

The 8 most intense peaks (10° ≤ 2θ ≤ 90°), low angle first:
2θ/deg	d/Å	Rel. int.	hkl
20.4	4.363	23	1 0 1
23.5	3.778	24	0 1 2
33.5	2.672	100	1 1 0
39.6	2.278	13	0 1 5
48.2	1.889	18	0 2 4
60.0	1.543	37	3 0 0
70.5	1.336	12	2 2 0
80.4	1.195	16	1 3 4

Crystal structure
a b c (Å): 5.3430 5.3430 13.0909
angles (deg): 90.00 90.00 120.00
Space group R3m (No. 160, hexagonal axes)
One atom of each set of equivalent atoms:
Li  0.0000  0.0000  0.0000 x3
In  0.0000  0.0000  0.4995 x3
In  0.0000  0.0000  0.7495 x3
Bi  0.0000  0.0000  0.2497 x3



Entry 4:
This entry pairs a crystal structure of La2NdDy2Er with its theoretical X-ray powder pattern. Radiation: λ = 1.5418 Å (Cu Kα). Structure: a crystal structure in Alexandria, relaxed with PBE.
Neutral-atom scattering factors, no anomalous dispersion.

The 8 most intense peaks (10° ≤ 2θ ≤ 90°), low angle first:
2θ/deg	d/Å	Rel. int.	hkl
30.9	2.895	92	2 0 2
31.2	2.866	100	0 2 0
40.4	2.234	11	2 2 0
44.5	2.037	34	2 2 2
55.3	1.660	35	2 3 1
55.5	1.656	13	0 3 3
61.3	1.513	29	4 2 0
79.0	1.213	14	4 3 3

Crystal structure
a b c (Å): 7.1276 5.7388 9.9178
angles (deg): 90.00 90.00 90.00
Space group Pmma (No. 51)
One atom of each set of equivalent atoms:
La  0.0000  0.0000  0.0000 x2
La  0.2500  0.5000  0.1789 x2
Nd  0.2500  0.0000  0.6581 x2
Dy  0.2500  0.0000  0.3335 x2
Dy  0.2500  0.5000  0.8344 x2
Er  0.0000  0.5000  0.5000 x2



Entry 5:
This entry pairs a crystal structure of Cs3Hg2Br5Cl2 with its theoretical X-ray powder pattern. Radiation: λ = 1.5418 Å (Cu Kα). Structure: a crystal structure in Alexandria, relaxed with PBE.
Neutral-atom scattering factors, no anomalous dispersion.

The 8 most intense peaks (10° ≤ 2θ ≤ 90°), low angle first:
2θ/deg	d/Å	Rel. int.	hkl
12.5	7.071	25	0 0 4
22.1	4.022	100	1 1 0
29.1	3.064	19	1 1 6
31.4	2.851	63	2 0 0
31.6	2.828	24	0 0 10
38.7	2.325	32	2 1 5
45.0	2.016	25	2 2 0
45.2	2.008	35	2 0 10

Crystal structure
a b c (Å): 5.7022 5.7022 28.2834
angles (deg): 90.00 90.00 90.00
Space group I4/mmm (No. 139)
One atom of each set of equivalent atoms:
Cs  0.0000  0.0000  0.0000 x2
Cs  0.0000  0.0000  0.1825 x4
Hg  0.0000  0.0000  0.3983 x4
Br  0.0000  0.0000  0.5000 x2
Br  0.0000  0.5000  0.0965 x8
Cl  0.0000  0.0000  0.3049 x4



Entry 6:
This entry pairs a crystal structure of Ta3Ru2Pt with its theoretical X-ray powder pattern. Radiation: λ = 1.5418 Å (Cu Kα). Structure: a crystal structure in Alexandria, relaxed with PBE.
Neutral-atom scattering factors, no anomalous dispersion.

The 8 most intense peaks (10° ≤ 2θ ≤ 90°), low angle first:
2θ/deg	d/Å	Rel. int.	hkl
38.9	2.314	100	1 2 1
43.2	2.095	19	0 0 3
43.5	2.080	18	2 0 -1
48.9	1.864	13	0 4 0
67.2	1.393	10	0 4 3
76.3	1.248	14	1 2 4
83.5	1.157	11	2 4 2
84.6	1.145	10	1 6 1

Crystal structure
a b c (Å): 4.1594 7.4569 6.6183
angles (deg): 90.00 108.23 90.00
Space group P2/m (No. 10)
One atom of each set of equivalent atoms:
Ta  0.0000  0.2416  0.0000 x2
Ta  0.3349  0.2367  0.6692 x4
Ru  0.1668  0.0000  0.3336 x2
Ru  0.5000  0.0000  0.0000 x1
Ru  0.5000  0.5000  0.0000 x1
Pt  0.1671  0.5000  0.3354 x2



Entry 7:
This entry pairs a crystal structure of La2Al2Ga5 with its theoretical X-ray powder pattern. Radiation: λ = 1.5418 Å (Cu Kα). Structure: a crystal structure in Alexandria, relaxed with PBE.
Neutral-atom scattering factors, no anomalous dispersion.

The 8 most intense peaks (10° ≤ 2θ ≤ 90°), low angle first:
2θ/deg	d/Å	Rel. int.	hkl
26.9	3.312	18	1 0 2
33.8	2.651	100	1 1 2
35.9	2.501	16	0 0 4
40.8	2.210	36	2 0 0
55.5	1.656	18	2 0 4
59.1	1.563	12	2 2 0
63.2	1.471	13	1 1 6
69.9	1.346	24	3 1 2

Crystal structure
a b c (Å): 4.4205 4.4205 10.0046
angles (deg): 90.00 90.00 90.00
Space group P4/mmm (No. 123)
One atom of each set of equivalent atoms:
La  0.0000  0.0000  0.0000 x1
La  0.0000  0.0000  0.5000 x1
Al  0.5000  0.5000  0.1260 x2
Ga  0.0000  0.5000  0.2701 x4
Ga  0.5000  0.5000  0.5000 x1



Entry 8:
This entry pairs a crystal structure of MgGeRh2 with its theoretical X-ray powder pattern. Radiation: λ = 1.5418 Å (Cu Kα). Structure: a crystal structure in Alexandria, relaxed with PBE.
Neutral-atom scattering factors, no anomalous dispersion.

The 8 most intense peaks (10° ≤ 2θ ≤ 90°), low angle first:
2θ/deg	d/Å	Rel. int.	hkl
25.2	3.529	6	1 1 1
29.2	3.056	17	2 0 0
41.8	2.161	100	2 2 0
49.5	1.843	3	3 1 1
51.8	1.764	4	2 2 2
60.6	1.528	16	4 0 0
68.7	1.367	6	4 2 0
76.3	1.248	32	4 2 2

Crystal structure
a b c (Å): 6.1120 6.1120 6.1120
angles (deg): 90.00 90.00 90.00
Space group Fm-3m (No. 225)
One atom of each set of equivalent atoms:
Mg  0.0000  0.0000  0.0000 x4
Ge  0.0000  0.0000  0.5000 x4
Rh  0.2500  0.2500  0.2500 x8